[1]
Simulated powder XRD pattern of Np3Se5 for Cu Kα (λ = 1.5418 Å), from a crystal structure in OQMD, relaxed with PBE.
Lines closer than 0.1° are merged.

Peak list (6 most intense, 2θ = 5–70°, sorted by position)
24.93°, d 3.572, intensity 83, (3 0 1); 25.60°, d 3.479, intensity 52, (1 2 1); 26.16°, d 3.406, intensity 54, (2 2 0); 35.20°, d 2.550, intensity 100, (2 2 2); 45.00°, d 2.015, intensity 65, (5 2 1); 51.16°, d 1.785, intensity 48, (6 0 2)

Structural model:
Lattice parameters (Å, degrees): 12.1011 8.2429 7.6910 90.00 90.00 90.00
Space group Pnma (No. 62)
Unique sites:
Np  0.0087  0.2500  0.0786 x4
Np  0.1797  0.0022  0.5221 x8
Se  0.0008  0.7500  0.5356 x4
Se  0.0962  0.5488  0.1699 x8
Se  0.1877  0.2500  0.8292 x4
Se  0.2187  0.7500  0.7984 x4

[2]
Simulated powder XRD pattern of SrMg2CdSi for Cu Kα (λ = 1.5418 Å), from a crystal structure in OQMD, relaxed with PBE.
Lines closer than 0.1° are merged.

Peak list (6 most intense, 2θ = 5–70°, sorted by position)
28.31°, d 3.152, intensity 58, (1 1 0); 29.50°, d 3.028, intensity 100, (1 0 3); 31.86°, d 2.809, intensity 94, (1 1 2); 40.47°, d 2.229, intensity 54, (2 0 0); 41.73°, d 2.164, intensity 62, (1 0 5); 50.87°, d 1.795, intensity 42, (2 1 3)

Structural model:
Lattice parameters (Å, degrees): 4.4579 4.4579 12.3790 90.00 90.00 90.00
Space group I4mm (No. 107)
Unique sites:
Sr  0.0000  0.0000  0.0000 x2
Mg  0.0000  0.5000  0.2717 x4
Cd  0.0000  0.0000  0.6164 x2
Si  0.0000  0.0000  0.4015 x2

[3]
Simulated powder XRD pattern of Rb2HfAg2S4 for Cu Kα (λ = 1.5418 Å), from a crystal structure in OQMD, relaxed with PBE.
Lines closer than 0.1° are merged.

Peak list (6 most intense, 2θ = 5–70°, sorted by position)
12.98°, d 6.820, intensity 50, (0 2 0); 15.86°, d 5.589, intensity 35, (1 1 0); 28.48°, d 3.134, intensity 42, (1 3 1); 32.07°, d 2.791, intensity 100, (2 2 0); 41.76°, d 2.163, intensity 38, (2 0 2); 49.97°, d 1.825, intensity 62, (2 6 0)

Structural model:
Lattice parameters (Å, degrees): 6.1272 13.6391 6.1078 90.00 90.00 90.00
Space group C222 (No. 21)
Unique sites:
Rb  0.2500  0.2500  0.2390 x4
Hf  0.0000  0.0000  0.5000 x2
Ag  0.0000  0.0000  0.0000 x2
Ag  0.0000  0.5000  0.5000 x2
S  0.2240  0.1055  0.7239 x8

[4]
Simulated powder XRD pattern of TlCo for Cu Kα (λ = 1.5418 Å), from a crystal structure in OQMD, relaxed with PBE.
Lines closer than 0.1° are merged.

Peak list (6 most intense, 2θ = 5–70°, sorted by position)
21.92°, d 4.055, intensity 25, (0 0 1); 32.50°, d 2.755, intensity 47, (1 0 0); 39.55°, d 2.279, intensity 100, (1 0 1); 44.69°, d 2.028, intensity 14, (0 0 2); 56.34°, d 1.633, intensity 20, (1 0 2); 57.99°, d 1.590, intensity 20, (1 1 0)

Structural model:
Lattice parameters (Å, degrees): 3.1807 3.1807 4.0554 90.00 90.00 120.00
Space group P-6m2 (No. 187)
Unique sites:
Tl  0.0000  0.0000  0.0000 x1
Co  0.3333  0.6667  0.5000 x1

[5]
Simulated powder XRD pattern of HoAgSO for Cu Kα (λ = 1.5418 Å), from a crystal structure in OQMD, relaxed with PBE.
Lines closer than 0.1° are merged.

Peak list (6 most intense, 2θ = 5–70°, sorted by position)
8.21°, d 10.763, intensity 100, (0 0 1); 27.63°, d 3.228, intensity 92, (1 1 -2); 28.21°, d 3.164, intensity 83, (1 1 2); 33.28°, d 2.692, intensity 75, (1 1 -3); 34.03°, d 2.635, intensity 61, (1 1 3); 45.69°, d 1.986, intensity 57, (2 2 0)

Structural model:
Lattice parameters (Å, degrees): 5.6182 5.6177 10.7677 90.00 91.71 90.00
Space group P2_1 (No. 4)
Unique sites:
Ho  0.0039  0.0000  0.0977 x2
Ho  0.4948  0.0008  0.9013 x2
Ag  0.1877  0.2726  0.4970 x2
Ag  0.4993  0.0181  0.2956 x2
S  0.2006  0.3102  0.2785 x2
S  0.2044  0.2258  0.7157 x2
O  0.2497  0.7495  0.0002 x2
O  0.2527  0.2488  0.9995 x2

[6]
Simulated powder XRD pattern of PdPb3O5 for Cu Kα (λ = 1.5418 Å), from a crystal structure in OQMD, relaxed with PBE.
Lines closer than 0.1° are merged.

Peak list (6 most intense, 2θ = 5–70°, sorted by position)
26.90°, d 3.314, intensity 17, (1 2 0); 30.75°, d 2.907, intensity 55, (0 0 2); 31.06°, d 2.879, intensity 100, (1 2 -1); 43.99°, d 2.058, intensity 15, (2 0 -2); 44.10°, d 2.053, intensity 15, (2 0 2); 54.85°, d 1.674, intensity 31, (1 2 -3)

Structural model:
Lattice parameters (Å, degrees): 5.8090 8.0660 5.8210 90.00 90.14 90.00
Space group P2_1 (No. 4)
Unique sites:
Pd  0.0041  0.0000  0.4963 x2
Pb  0.0052  0.6796  0.0169 x2
Pb  0.4824  0.6797  0.4959 x2
Pb  0.4933  0.8818  0.0060 x2
O  0.0590  0.7516  0.4450 x2
O  0.2456  0.4949  0.2532 x2
O  0.2492  0.5168  0.7486 x2
O  0.2498  0.0197  0.7489 x2
O  0.2511  0.0380  0.2482 x2

[7]
Simulated powder XRD pattern of Ag3AsSe4 for Cu Kα (λ = 1.5418 Å), from a crystal structure in OQMD, relaxed with PBE.
Lines closer than 0.1° are merged.

Peak list (6 most intense, 2θ = 5–70°, sorted by position)
24.13°, d 3.688, intensity 63, (0 2 0); 24.96°, d 3.567, intensity 100, (2 1 0); 26.08°, d 3.417, intensity 85, (0 0 2); 28.22°, d 3.162, intensity 79, (2 1 1); 42.96°, d 2.105, intensity 64, (2 3 0); 47.35°, d 1.920, intensity 60, (2 1 3)

Structural model:
Lattice parameters (Å, degrees): 8.1501 7.3762 6.8340 90.00 90.00 90.00
Space group Pmn2_1 (No. 31)
Unique sites:
Ag  0.0000  0.1551  0.0000 x2
Ag  0.2142  0.2905  0.3988 x4
As  0.0000  0.8120  0.4271 x2
Se  0.0000  0.0982  0.5902 x2
Se  0.0000  0.8054  0.0769 x2
Se  0.2351  0.6411  0.5282 x4

[8]
Simulated powder XRD pattern of NiAgSbS3 for Cu Kα (λ = 1.5418 Å), from a crystal structure in OQMD, relaxed with PBE.
Lines closer than 0.1° are merged.

Peak list (6 most intense, 2θ = 5–70°, sorted by position)
27.05°, d 3.296, intensity 62, (1 0 3); 28.89°, d 3.091, intensity 100, (1 2 0); 29.42°, d 3.036, intensity 30, (1 1 3); 46.62°, d 1.948, intensity 19, (0 4 0); 47.63°, d 1.909, intensity 42, (2 2 3); 54.73°, d 1.677, intensity 20, (1 4 3)

Structural model:
Lattice parameters (Å, degrees): 5.0762 7.7923 13.0030 90.00 90.00 90.00
Space group P2_12_12_1 (No. 19)
Unique sites:
Ni  0.0223  0.1306  0.2441 x4
Ag  0.0243  0.6031  0.9428 x4
Sb  0.0065  0.6381  0.6353 x4
S  0.1673  0.6429  0.4107 x4
S  0.1932  0.8733  0.2094 x4
S  0.2273  0.1241  0.3931 x4

[9]
Simulated powder XRD pattern of Ni13W16 for Cu Kα (λ = 1.5418 Å), from a crystal structure in OQMD, relaxed with PBE.
Lines closer than 0.1° are merged.

Peak list (6 most intense, 2θ = 5–70°, sorted by position)
23.48°, d 3.790, intensity 11, (2 1 1); 38.80°, d 2.321, intensity 12, (4 0 0); 41.26°, d 2.188, intensity 100, (3 3 0); 45.85°, d 1.979, intensity 11, (3 3 2); 48.02°, d 1.895, intensity 10, (4 2 2); 50.11°, d 1.820, intensity 11, (4 3 1)

Structural model:
Lattice parameters (Å, degrees): 9.2826 9.2826 9.2826 90.00 90.00 90.00
Space group I-43m (No. 217)
Unique sites:
Ni  0.0000  0.0000  0.0000 x2
Ni  0.0904  0.0904  0.7204 x24
W  0.0442  0.3582  0.6418 x24
W  0.1668  0.1668  0.1668 x8